1.
Structure and computed X-ray diffraction stick pattern of Pb (a cell relaxed with PBE; Cu Kα X-rays).

Structure:
a b c (Å): 3.5639 3.5639 11.6019
angles (deg): 90.00 90.00 120.00
Space group P6_3/mmc (No. 194)
Symmetry-distinct sites (fractional):
Pb  0.0000  0.0000  0.0000 [2 per cell]
Pb  0.3333  0.6667  0.2500 [2 per cell]

Main lines, by intensity (15 to 90 degrees two-theta):
hkl 1 0 2, 2θ 32.87, 2.725 Å, intensity 100; hkl 1 0 1, 2θ 29.96, 2.983 Å, intensity 42; hkl 0 0 4, 2θ 30.83, 2.900 Å, intensity 35; hkl 1 1 4, 2θ 61.03, 1.518 Å, intensity 31; hkl 1 1 0, 2θ 51.27, 1.782 Å, intensity 26; hkl 1 0 3, 2θ 37.27, 2.412 Å, intensity 24

2.
Structure and computed X-ray diffraction stick pattern of Bi3Mo (a cell relaxed with PBE; Cu Kα X-rays).

Structure:
a b c (Å): 7.3725 4.9153 12.3132
angles (deg): 90.00 99.20 90.00
Space group P2_1/m (No. 11)
Symmetry-distinct sites (fractional):
Bi  0.0731  0.2500  0.3743 [2 per cell]
Bi  0.1572  0.7500  0.2077 [2 per cell]
Bi  0.2402  0.2500  0.0465 [2 per cell]
Bi  0.2998  0.7500  0.8623 [2 per cell]
Bi  0.3379  0.2500  0.6824 [2 per cell]
Bi  0.3417  0.7500  0.4776 [2 per cell]
Mo  0.4128  0.2500  0.2925 [2 per cell]
Mo  0.4716  0.7500  0.0990 [2 per cell]

Main lines, by intensity (15 to 90 degrees two-theta):
hkl 1 1 3, 2θ 32.53, 2.752 Å, intensity 100; hkl 2 1 -2, 2θ 32.22, 2.778 Å, intensity 88; hkl 0 2 0, 2θ 36.56, 2.458 Å, intensity 52; hkl 1 0 -5, 2θ 37.07, 2.425 Å, intensity 38; hkl 1 2 -5, 2θ 53.05, 1.726 Å, intensity 30; hkl 2 0 1, 2θ 26.67, 3.342 Å, intensity 25